SrTeO3: computed X-ray powder pattern (Cu Ka), based on DFT lattice parameters and positions (PBE).
No peak broadening, texture or thermal motion is included.

Peak list (8 most intense, 15 to 90 degrees two-theta, in order of rising 2θ)
2θ (°), I (rel.)
26.93, 100
27.21, 92
29.51, 23
29.88, 42
42.49, 30
46.27, 19
51.27, 19
51.42, 15

Structure:
a b c (Å): 14.6214 14.6214 15.6124
angles (deg): 121.45 121.45 23.61
Positions (direct):
Sr 0.0000 0.0000 0.0000
Sr 0.1667 0.0875 0.6573
Sr 0.1693 0.0774 0.9186
Sr 0.3169 0.1787 0.6115
Sr 0.3204 0.1914 0.2202
Sr 0.3969 0.3597 0.8936
Sr 0.5123 0.4877 0.5000
Sr 0.6403 0.6031 0.1064
Sr 0.8086 0.6796 0.7798
Sr 0.8213 0.6831 0.3885
Sr 0.9125 0.8333 0.3427
Sr 0.9227 0.8307 0.0814
Te 0.0151 0.9431 0.6469
Te 0.0569 0.9849 0.3531
Te 0.2090 0.0843 0.2783
Te 0.3193 0.2062 0.9169
Te 0.3727 0.3274 0.4969
Te 0.4338 0.3398 0.2227
Te 0.5330 0.4515 0.1499
Te 0.5485 0.4670 0.8501
Te 0.6602 0.5662 0.7773
Te 0.6726 0.6273 0.5031
Te 0.7938 0.6807 0.0831
Te 0.9157 0.7910 0.7217
O 0.0003 0.3869 0.0730
O 0.0549 0.7723 0.8487
O 0.0607 0.8286 0.2846
O 0.0742 0.5376 0.7302
O 0.1291 0.7707 0.5207
O 0.1477 0.4875 0.9542
O 0.1564 0.5073 0.1848
O 0.1575 0.4811 0.3805
O 0.1714 0.9393 0.7154
O 0.2277 0.9451 0.1513
O 0.2293 0.8709 0.4793
O 0.2332 0.2313 0.7775
O 0.2518 0.3315 0.5174
O 0.2517 0.6548 0.0609
O 0.3452 0.7483 0.9391
O 0.4624 0.9258 0.2698
O 0.4927 0.8436 0.8152
O 0.5097 0.2981 0.3549
O 0.5125 0.8523 0.0458
O 0.5189 0.8425 0.6195
O 0.5994 0.3133 0.8806
O 0.6131 0.9997 0.9270
O 0.6303 0.0177 0.7474
O 0.6322 0.0255 0.4318
O 0.6328 0.0445 0.1612
O 0.6685 0.7482 0.4826
O 0.6867 0.4006 0.1194
O 0.7014 0.1754 0.0712
O 0.7019 0.4903 0.6451
O 0.7177 0.2432 0.6133
O 0.7568 0.2823 0.3867
O 0.7687 0.7668 0.2225
O 0.8246 0.2986 0.9288
O 0.9555 0.3672 0.8388
O 0.9745 0.3678 0.5682
O 0.9823 0.3697 0.2526